No. 1
Starting from the PBE geometry in Alexandria, the X-ray diffraction stick pattern of BaPa4Cu3O12 was calculated for copper Kα.
Neutral-atom scattering factors, no anomalous dispersion.

Peak list (10 most intense, 2θ from 15° to 90°, by angle)
21.29°, intensity 29; 30.29°, intensity 100; 37.33°, intensity 6; 43.37°, intensity 23; 48.80°, intensity 15; 53.82°, intensity 47; 63.01°, intensity 14; 67.32°, intensity 6; 71.50°, intensity 19; 87.46°, intensity 23

Structure:
```
20
Lattice="-4.1727 4.1727 4.1727 4.1727 -4.1727 4.1727 4.1727 4.1727 -4.1727" Properties=species:S:1:pos:R:3 pbc="T T T"
Ba 0.0000 0.0000 0.0000
Pa 2.0863 2.0863 -2.0863
Pa 2.0863 -2.0863 2.0863
Pa -2.0863 2.0863 2.0863
Pa 2.0863 2.0863 2.0863
Cu 4.1727 0.0000 0.0000
Cu 0.0000 4.1727 0.0000
Cu 0.0000 0.0000 4.1727
O 4.1727 2.7330 -1.6655
O 2.5072 0.0000 1.4397
O 5.8382 0.0000 1.4397
O 1.4397 2.5072 0.0000
O 2.7330 -1.6655 4.1727
O 0.0000 1.4397 2.5072
O 4.1727 2.7330 1.6655
O 1.4397 5.8382 0.0000
O 2.7330 1.6655 4.1727
O -1.6655 4.1727 2.7330
O 1.6655 4.1727 2.7330
O 0.0000 1.4397 5.8382
```

***

No. 2
Starting from the PBE geometry in Alexandria, the X-ray diffraction stick pattern of BaSrYCu3PbO7 was calculated for copper Kα.
Neutral-atom scattering factors, no anomalous dispersion.

Peak list (10 most intense, 2θ from 15° to 90°, by angle)
28.08°, intensity 30; 31.88°, intensity 34; 32.14°, intensity 71; 32.27°, intensity 37; 32.85°, intensity 100; 47.05°, intensity 24; 47.24°, intensity 25; 58.13°, intensity 14; 58.36°, intensity 29; 68.88°, intensity 15

Structure:
```
14
Lattice="14.2346 -1.9242 0.0000 14.2346 1.9242 0.0000 -0.4794 0.0000 3.8333" Properties=species:S:1:pos:R:3 pbc="T T T"
Ba 0.0000 0.0000 0.0000
Sr 20.7632 0.0000 2.9040
Y 24.2595 0.0000 3.3720
Cu 4.5008 0.0000 0.6133
Cu 8.5675 0.0000 1.2418
Cu 11.8772 0.0000 1.6557
Pb 16.7660 0.0000 2.3705
O 2.7229 0.0000 0.0715
O 6.2554 0.0000 1.0508
O 8.5416 0.0000 3.1867
O 11.4383 0.0000 3.5476
O 14.5871 0.0000 1.9825
O 23.0190 0.0000 1.2695
O 25.9075 0.0000 1.6309
```

***

No. 3
Starting from the PBE geometry in Alexandria, the X-ray diffraction stick pattern of Ba2CuPdO6 was calculated for copper Kα.
Neutral-atom scattering factors, no anomalous dispersion.

Peak list (10 most intense, 2θ from 15° to 90°, by angle)
27.94°, intensity 56; 30.81°, intensity 100; 35.79°, intensity 24; 39.07°, intensity 12; 42.07°, intensity 35; 47.94°, intensity 16; 53.05°, intensity 17; 54.79°, intensity 19; 58.07°, intensity 14; 64.19°, intensity 19

Structure:
```
20
Lattice="2.9020 1.6754 9.6497 -2.9020 1.6754 9.6497 0.0000 -3.3509 9.6497" Properties=species:S:1:pos:R:3 pbc="T T T"
Ba 0.0000 0.0000 3.6136
Ba 0.0000 0.0000 8.3898
Ba 0.0000 0.0000 20.5592
Ba 0.0000 0.0000 25.3354
Cu 0.0000 0.0000 0.0000
Cu 0.0000 0.0000 14.4745
Pd 0.0000 0.0000 11.8518
Pd 0.0000 0.0000 17.0972
O -1.3163 -0.7600 13.2544
O 0.0000 -1.7383 10.8658
O -1.5054 0.8692 10.8658
O -1.5054 -0.8692 18.0832
O 0.0000 -1.5200 15.6946
O -1.3163 0.7600 15.6946
O 1.3163 -0.7600 13.2543
O 0.0000 1.5200 13.2543
O 1.5054 0.8692 10.8658
O 1.5054 -0.8692 18.0831
O 0.0000 1.7383 18.0831
O 1.3163 0.7600 15.6946
```

***

No. 4
Starting from the PBE geometry in Alexandria, the X-ray diffraction stick pattern of Ba3Cu2PdO6 was calculated for copper Kα.
Neutral-atom scattering factors, no anomalous dispersion.

Peak list (10 most intense, 2θ from 15° to 90°, by angle)
29.83°, intensity 100; 31.58°, intensity 81; 44.00°, intensity 46; 52.95°, intensity 20; 54.07°, intensity 35; 57.32°, intensity 13; 61.97°, intensity 17; 65.95°, intensity 10; 71.23°, intensity 15; 74.04°, intensity 12

Structure:
```
12
Lattice="5.9899 0.0000 0.0000 -2.9949 5.1874 0.0000 0.0000 0.0000 6.7629" Properties=species:S:1:pos:R:3 pbc="T T T"
Ba 0.0000 0.0000 0.0000
Ba 0.0000 3.4582 4.3568
Ba 2.9949 1.7291 2.4061
Cu 0.0000 3.4582 1.3536
Cu 2.9949 1.7291 5.4093
Pd 0.0000 0.0000 3.3814
O 0.0000 1.7182 2.1059
O -1.5069 4.3283 2.1059
O 1.4880 0.8591 4.6570
O 1.5069 4.3283 2.1059
O 4.5019 0.8591 4.6570
O 2.9949 3.4692 4.6570
```

***

No. 5
Starting from the PBE geometry in Alexandria, the X-ray diffraction stick pattern of Ba4Pr2Cu6O13 was calculated for copper Kα.
Neutral-atom scattering factors, no anomalous dispersion.

Peak list (10 most intense, 2θ from 15° to 90°, by angle)
31.61°, intensity 93; 31.92°, intensity 96; 32.11°, intensity 100; 39.31°, intensity 27; 45.60°, intensity 29; 46.49°, intensity 27; 56.37°, intensity 28; 56.74°, intensity 37; 57.31°, intensity 33; 67.17°, intensity 16

Structure:
```
25
Lattice="0.0000 3.9786 12.0818 3.9064 0.0000 12.0818 3.9064 3.9786 0.0000" Properties=species:S:1:pos:R:3 pbc="T T T"
Ba 5.9155 3.9786 9.7997
Ba 5.9155 3.9786 14.3640
Ba 1.8972 3.9786 9.7997
Ba 1.8972 3.9786 14.3640
Pr 1.9532 0.0000 6.0409
Pr 1.9532 3.9786 6.0409
Cu 3.9064 2.0008 7.7672
Cu 3.9064 1.8996 12.0818
Cu 3.9064 2.0008 16.3965
Cu 3.9064 5.9564 7.7672
Cu 3.9064 6.0577 12.0818
Cu 3.9064 5.9564 16.3965
O 0.0000 0.0000 0.0000
O 3.9064 3.9786 4.4465
O 1.9532 1.9893 4.4915
O 3.9064 2.1691 10.2762
O 1.9532 1.9893 7.5904
O 3.9064 3.9786 7.5784
O 3.9064 2.1691 13.8875
O 3.9064 5.7881 10.2762
O 3.9064 3.9786 16.5853
O 5.8595 5.9679 16.5733
O 3.9064 5.7881 13.8875
O 5.8595 5.9679 19.6722
O 3.9064 3.9786 19.7172
```

***

No. 6
Starting from the PBE geometry in Alexandria, the X-ray diffraction stick pattern of BaSrPrCu3O7 was calculated for copper Kα.
Neutral-atom scattering factors, no anomalous dispersion.

Peak list (10 most intense, 2θ from 15° to 90°, by angle)
32.12°, intensity 48; 32.61°, intensity 100; 40.02°, intensity 12; 46.06°, intensity 27; 47.51°, intensity 14; 57.57°, intensity 40; 58.50°, intensity 17; 67.19°, intensity 7; 68.32°, intensity 15; 78.85°, intensity 8

Structure:
```
13
Lattice="3.8278 0.0000 0.0000 0.0000 3.9447 0.0000 0.0000 0.0000 11.8113" Properties=species:S:1:pos:R:3 pbc="T T T"
Ba 0.0000 0.0000 0.0000
Sr 0.0000 0.0000 7.6216
Pr 0.0000 0.0000 3.8663
Cu 1.9139 1.9723 2.0105
Cu 1.9139 1.9723 5.7215
Cu 1.9139 1.9723 9.6809
O 0.0000 1.9723 2.3277
O 0.0000 1.9723 5.4003
O 1.9139 0.0000 2.2922
O 1.9139 0.0000 5.4544
O 1.9139 0.0000 9.5561
O 1.9139 1.9723 7.8189
O 1.9139 1.9723 11.5526
```